For NdV2IO9, a crystal structure in Alexandria, relaxed with PBE+U gives the computed PXRD pattern in this record (Cu Kα (λ = 1.5418 Å)).
Neutral-atom scattering factors, no anomalous dispersion.

Largest 10 diffraction maxima, by angle, 10° ≤ 2θ ≤ 90°:
index	2θ/deg	d/Å	intensity
0 2 0	12.07	7.334	35
1 3 0	22.08	4.026	100
0 0 2	24.29	3.664	82
0 2 2	27.22	3.276	48
2 1 1	28.62	3.119	64
1 3 2	33.06	2.709	80
1 5 2	41.44	2.179	37
2 1 3	45.53	1.992	29
3 4 1	47.40	1.918	34
1 7 2	51.88	1.762	22

Atomic structure:
```
52
Lattice="7.0947 0.0000 0.0000 0.0000 14.6673 0.0000 0.0000 0.0000 7.3232" Properties=species:S:1:pos:R:3 pbc="T T T"
Nd 1.0588 0.6882 1.8308
Nd 1.0588 6.6454 5.4924
Nd 6.0359 8.0219 1.8308
Nd 6.0359 13.9790 5.4924
V 1.2878 10.6984 5.4924
V 1.2878 11.3025 1.8308
V 3.2756 3.6668 0.0000
V 3.2756 3.6668 3.6616
V 3.8191 11.0005 0.0000
V 3.8191 11.0005 3.6616
V 5.8069 3.3648 5.4924
V 5.8069 3.9688 1.8308
I 2.1058 0.8136 5.4924
I 2.1058 6.5200 1.8308
I 4.9889 8.1472 5.4924
I 4.9889 13.8537 1.8308
O 0.0828 10.1427 1.8308
O 0.0828 11.8582 5.4924
O 0.5803 9.1715 5.4924
O 0.5803 12.8294 1.8308
O 1.2211 7.4833 0.5174
O 1.2211 7.4833 3.1443
O 1.2211 14.5176 4.1790
O 1.2211 14.5176 6.8059
O 1.8588 11.0005 0.0000
O 1.8588 11.0005 3.6616
O 2.3208 2.3052 0.3138
O 2.3208 2.3052 3.3478
O 2.3208 5.0284 3.9754
O 2.3208 5.0284 7.0095
O 3.3391 10.5834 5.4924
O 3.3391 11.4176 1.8308
O 3.3657 7.3454 5.4924
O 3.3657 14.6556 1.8308
O 3.7290 0.0117 5.4924
O 3.7290 7.3219 1.8308
O 3.7557 3.2497 5.4924
O 3.7557 4.0839 1.8308
O 4.7740 9.6388 0.3138
O 4.7740 9.6388 3.3478
O 4.7740 12.3621 3.9754
O 4.7740 12.3621 7.0095
O 5.2359 3.6668 0.0000
O 5.2359 3.6668 3.6616
O 5.8736 0.1496 0.5174
O 5.8736 0.1496 3.1443
O 5.8736 7.1840 4.1790
O 5.8736 7.1840 6.8059
O 6.5144 1.8379 5.4924
O 6.5144 5.4958 1.8308
O 7.0119 2.8091 1.8308
O 7.0119 4.5245 5.4924
```